Record 1
Starting from a cell relaxed with PBE+U, the X-ray powder pattern of NiP4O12 was computed for Cu Ka.

Main lines, sorted by position (2θ from 5° to 70°):
11.9°, rel. 100.0
14.5°, rel. 50.2
19.7°, rel. 36.5
19.9°, rel. 55.2
23.6°, rel. 56.4
26.7°, rel. 49.9
31.0°, rel. 37.5
37.6°, rel. 28.8

Crystal structure
```
NiP4O12
1.0
4.771 -6.684 0.000
4.771 6.684 0.000
-2.664 0.000 7.074
Ni P O
2 8 24
direct
0.129 0.871 0.500
0.871 0.129 0.000
0.047 0.209 0.434
0.209 0.047 0.934
0.272 0.602 0.628
0.394 0.737 0.343
0.602 0.272 0.128
0.737 0.394 0.843
0.790 0.953 0.565
0.953 0.790 0.065
0.005 0.267 0.256
0.085 0.149 0.926
0.109 0.656 0.560
0.128 0.872 0.999
0.149 0.085 0.426
0.163 0.389 0.600
0.267 0.005 0.756
0.319 0.649 0.139
0.347 0.894 0.447
0.367 0.591 0.460
0.389 0.163 0.100
0.403 0.690 0.815
0.591 0.367 0.960
0.612 0.837 0.398
0.649 0.319 0.639
0.656 0.109 0.060
0.690 0.403 0.315
0.732 0.996 0.743
0.837 0.612 0.898
0.852 0.916 0.074
0.872 0.128 0.499
0.894 0.347 0.947
0.916 0.852 0.574
0.996 0.732 0.243
```

Record 2
Starting from a cell relaxed with PBE+U, the X-ray powder pattern of Ni4P2O9 was computed for Cu Ka.

Main lines, sorted by position (2θ from 5° to 70°):
13.3°, rel. 42.0
17.0°, rel. 43.7
26.9°, rel. 100.0
31.2°, rel. 53.2
32.4°, rel. 66.6
33.0°, rel. 70.0
36.4°, rel. 44.6
50.3°, rel. 51.7

Crystal structure
```
Ni4P2O9
1.0
8.465 0.000 0.000
0.000 6.347 0.000
0.000 0.000 13.268
Ni P O
16 8 36
direct
0.073 0.250 0.084
0.144 0.015 0.646
0.144 0.485 0.646
0.145 0.750 0.436
0.355 0.250 0.936
0.356 0.515 0.146
0.356 0.985 0.146
0.427 0.750 0.584
0.573 0.250 0.416
0.644 0.015 0.854
0.644 0.485 0.854
0.645 0.750 0.064
0.855 0.250 0.564
0.856 0.515 0.354
0.856 0.985 0.354
0.927 0.750 0.916
0.006 0.750 0.155
0.166 0.250 0.424
0.334 0.750 0.924
0.494 0.250 0.655
0.506 0.750 0.345
0.666 0.250 0.076
0.834 0.750 0.576
0.994 0.250 0.845
0.092 0.250 0.744
0.096 0.046 0.376
0.096 0.454 0.376
0.109 0.250 0.539
0.111 0.549 0.149
0.111 0.951 0.149
0.115 0.250 0.932
0.157 0.750 0.914
0.194 0.750 0.582
0.306 0.250 0.082
0.343 0.250 0.414
0.385 0.750 0.432
0.389 0.049 0.649
0.389 0.451 0.649
0.391 0.750 0.039
0.404 0.546 0.876
0.404 0.954 0.876
0.408 0.750 0.244
0.592 0.250 0.756
0.596 0.046 0.124
0.596 0.454 0.124
0.609 0.250 0.961
0.611 0.549 0.351
0.611 0.951 0.351
0.615 0.250 0.568
0.657 0.750 0.586
0.694 0.750 0.918
0.806 0.250 0.418
0.843 0.250 0.086
0.885 0.750 0.068
0.889 0.049 0.851
0.889 0.451 0.851
0.891 0.750 0.461
0.904 0.546 0.624
0.904 0.954 0.624
0.908 0.750 0.256
```

Record 3
Starting from a cell relaxed with PBE+U, the X-ray powder pattern of NiP4O12 was computed for Cu Ka.

Main lines, sorted by position (2θ from 5° to 70°):
10.4°, rel. 45.7
14.2°, rel. 100.0
17.2°, rel. 31.8
18.8°, rel. 16.8
22.5°, rel. 34.8
25.1°, rel. 20.9
26.2°, rel. 13.0
33.7°, rel. 23.7

Crystal structure
```
NiP4O12
1.0
8.595 -6.233 0.000
8.595 6.233 0.000
-0.804 0.000 5.112
Ni P O
2 8 24
direct
0.000 0.500 0.000
0.500 0.000 0.000
0.144 0.704 0.823
0.197 0.438 0.529
0.296 0.856 0.177
0.438 0.197 0.529
0.562 0.803 0.471
0.704 0.144 0.823
0.803 0.562 0.471
0.856 0.296 0.177
0.057 0.668 0.992
0.071 0.822 0.669
0.102 0.410 0.683
0.171 0.430 0.235
0.178 0.929 0.331
0.221 0.579 0.637
0.273 0.727 0.000
0.332 0.943 0.008
0.346 0.346 0.603
0.410 0.102 0.683
0.421 0.779 0.363
0.430 0.171 0.235
0.570 0.829 0.765
0.579 0.221 0.637
0.590 0.898 0.317
0.654 0.654 0.397
0.668 0.057 0.992
0.727 0.273 0.000
0.779 0.421 0.363
0.822 0.071 0.669
0.829 0.570 0.765
0.898 0.590 0.317
0.929 0.178 0.331
0.943 0.332 0.008
```

Record 4
Starting from a cell relaxed with PBE+U, the X-ray powder pattern of NiP3O9 was computed for Cu Ka.

Main lines, sorted by position (2θ from 5° to 70°):
17.9°, rel. 23.1
22.9°, rel. 100.0
23.3°, rel. 66.1
23.5°, rel. 28.9
25.7°, rel. 29.0
32.4°, rel. 27.3
33.1°, rel. 38.5
33.5°, rel. 31.1

Crystal structure
```
NiP3O9
1.0
8.429 0.000 0.000
0.000 8.567 0.000
0.000 0.000 8.748
Ni P O
4 12 36
direct
0.136 0.140 0.148
0.364 0.860 0.648
0.636 0.360 0.852
0.864 0.640 0.352
0.032 0.679 0.692
0.178 0.510 0.196
0.207 0.195 0.556
0.293 0.805 0.056
0.322 0.490 0.696
0.468 0.321 0.192
0.532 0.821 0.308
0.678 0.990 0.804
0.707 0.305 0.444
0.793 0.695 0.944
0.822 0.010 0.304
0.968 0.179 0.808
0.043 0.225 0.647
0.093 0.372 0.128
0.096 0.125 0.914
0.100 0.592 0.328
0.132 0.812 0.631
0.144 0.537 0.747
0.167 0.160 0.393
0.186 0.913 0.146
0.213 0.634 0.062
0.287 0.366 0.562
0.314 0.087 0.646
0.333 0.840 0.893
0.356 0.463 0.247
0.368 0.188 0.131
0.400 0.408 0.828
0.404 0.875 0.414
0.407 0.628 0.628
0.457 0.775 0.147
0.543 0.275 0.353
0.593 0.128 0.872
0.596 0.375 0.086
0.600 0.908 0.672
0.632 0.688 0.369
0.644 0.963 0.253
0.667 0.340 0.607
0.686 0.587 0.854
0.713 0.866 0.938
0.787 0.134 0.438
0.814 0.413 0.354
0.833 0.660 0.107
0.856 0.037 0.753
0.868 0.312 0.869
0.900 0.092 0.172
0.904 0.625 0.586
0.907 0.872 0.372
0.957 0.725 0.853
```